# La3SmFe4O12
Simulated powder X-ray diffraction pattern, Cu Kα (weighted mean of Kα1 and Kα2). Input: DFT lattice parameters and positions (GGA+U).

Peak list (12 most intense, 10° ≤ 2θ ≤ 90°, sorted by position)
h k l, 2θ/deg, I_rel
1 0 1, 22.50, 14
1 1 -1, 25.27, 13
0 0 2, 31.60, 21
1 2 -1, 32.27, 100
2 0 0, 32.47, 25
2 2 0, 40.06, 11
2 0 2, 45.94, 24
0 4 0, 46.63, 15
0 3 2, 47.49, 14
1 1 3, 52.57, 12
3 2 1, 57.80, 22
2 4 2, 67.53, 12

```
data_La3SmFe4O12
_space_group_name_H-M_alt 'P 1 m 1'
_space_group_IT_number 6
_cell_length_a 5.515
_cell_length_b 7.792
_cell_length_c 5.664
_cell_angle_alpha 90.00
_cell_angle_beta 90.09
_cell_angle_gamma 90.00
loop_
_space_group_symop_operation_xyz
'x,y,z'
'x,-y,z'
loop_
_atom_site_label
_atom_site_fract_x
_atom_site_fract_y
_atom_site_fract_z
_atom_site_occupancy
La1 0.000 0.000 0.000 1
La2 0.026 0.500 0.104 1
La3 0.501 0.500 0.601 1
Sm1 0.528 0.000 0.491 1
Fe1 0.014 0.248 0.552 1
Fe2 0.512 0.249 0.051 1
O1 0.107 0.000 0.564 1
O2 0.221 0.291 0.847 1
O3 0.303 0.289 0.346 1
O4 0.435 0.000 0.074 1
O5 0.592 0.500 0.038 1
O6 0.720 0.203 0.753 1
O7 0.798 0.206 0.264 1
O8 0.936 0.500 0.541 1
```